Theoretical powder diffraction line list
Compound: NaHf2Te4
Radiation: copper Kα
Structure: a PBE-relaxed structure

Crystal structure
a = 7.125 Å, b = 7.125 Å, c = 14.596 Å
α = 90.00°, β = 90.00°, γ = 146.34°
Fractional positions:
Na  0.110  0.890  0.750
Na  0.890  0.110  0.250
Hf  0.368  0.632  0.566
Hf  0.368  0.632  0.934
Hf  0.632  0.368  0.066
Hf  0.632  0.368  0.434
Te  0.000  0.000  0.000
Te  0.000  0.000  0.500
Te  0.274  0.726  0.115
Te  0.274  0.726  0.385
Te  0.436  0.564  0.750
Te  0.564  0.436  0.250
Te  0.726  0.274  0.615
Te  0.726  0.274  0.885

Main lines, by intensity (15 to 90 degrees two-theta):
- 2θ 43.92, I 100
- 2θ 29.88, I 61
- 2θ 31.75, I 55
- 2θ 27.73, I 53
- 2θ 29.23, I 49
- 2θ 22.49, I 45
- 2θ 38.34, I 37
- 2θ 74.89, I 32
- 2θ 33.39, I 29
- 2θ 43.70, I 28
- 2θ 34.67, I 18
- 2θ 52.71, I 18